For NaZnPO4, the GGA-PBE geometry in OQMD gives the simulated PXRD pattern in this record (λ = 1.5418 Å (Cu Kα)).
Kinematic intensities with the Lorentz-polarization factor, no thermal factor.

Principal peaks in the range 2θ from 10° to 90°, low angle first:
2θ/deg	Rel. int.
18.0	72
29.6	33
30.3	77
33.5	97
34.9	100
36.4	25
55.9	29
60.1	46

Cell: 5.3887 5.3887 6.0285 Å, 90.00 90.00 113.63°
Positions (direct):
Na 0.0000 0.0000 0.0000
Na 0.0000 0.0000 0.5000
Zn 0.3426 0.6574 0.7500
Zn 0.6574 0.3426 0.2500
P 0.3627 0.6373 0.2500
P 0.6373 0.3627 0.7500
O 0.2586 0.7414 0.0445
O 0.2586 0.7414 0.4555
O 0.2601 0.3231 0.2500
O 0.3231 0.2601 0.7500
O 0.6769 0.7399 0.2500
O 0.7399 0.6769 0.7500
O 0.7414 0.2586 0.5445
O 0.7414 0.2586 0.9555



For Na5PaO5, the GGA-PBE geometry in OQMD gives the simulated PXRD pattern in this record (λ = 1.5418 Å (Cu Kα)).
Kinematic intensities with the Lorentz-polarization factor, no thermal factor.

Principal peaks in the range 2θ from 10° to 90°, low angle first:
2θ/deg	Rel. int.
14.1	100
16.8	39
18.2	51
21.1	91
23.9	37
32.1	36
33.3	35
36.8	31

Cell: 6.0175 6.0175 6.6403 Å, 107.22 107.22 44.94°
Positions (direct):
Na 0.0000 0.0000 0.0000
Na 0.2957 0.2957 0.1621
Na 0.3179 0.3179 0.6465
Na 0.6821 0.6821 0.3535
Na 0.7043 0.7043 0.8379
Pa 0.0000 0.0000 0.5000
O 0.1408 0.1408 0.3340
O 0.1515 0.1515 0.8090
O 0.5000 0.5000 0.5000
O 0.8485 0.8485 0.1910
O 0.8592 0.8592 0.6660



For Na4Pa4O11, the GGA-PBE geometry in OQMD gives the simulated PXRD pattern in this record (λ = 1.5418 Å (Cu Kα)).
Kinematic intensities with the Lorentz-polarization factor, no thermal factor.

Principal peaks in the range 2θ from 10° to 90°, low angle first:
2θ/deg	Rel. int.
21.2	100
29.7	18
30.2	72
30.7	16
43.2	18
48.6	24
53.1	17
54.3	17

Cell: 5.8197 8.3810 6.0107 Å, 90.00 90.08 90.00°
Positions (direct):
Na 0.0000 0.0000 0.0000
Na 0.0148 0.5000 0.9340
Na 0.4957 0.5000 0.4291
Na 0.5154 0.0000 0.5053
Pa 0.0028 0.2544 0.4699
Pa 0.0028 0.7456 0.4699
Pa 0.5076 0.2483 0.9685
Pa 0.5076 0.7517 0.9685
O 0.1974 0.3021 0.1651
O 0.1974 0.6979 0.1651
O 0.3173 0.3051 0.6610
O 0.3173 0.6949 0.6610
O 0.4016 0.0000 0.9199
O 0.6132 0.5000 0.0142
O 0.7039 0.1876 0.2706
O 0.7039 0.8124 0.2706
O 0.8164 0.1898 0.7726
O 0.8164 0.8102 0.7726
O 0.8900 0.5000 0.5187



For Na4PaO5, the GGA-PBE geometry in OQMD gives the simulated PXRD pattern in this record (λ = 1.5418 Å (Cu Kα)).
Kinematic intensities with the Lorentz-polarization factor, no thermal factor.

Principal peaks in the range 2θ from 10° to 90°, low angle first:
2θ/deg	Rel. int.
16.6	96
22.3	100
23.5	43
32.7	83
37.6	58
47.5	24
54.9	38
64.8	24

Cell: 5.8378 5.8378 5.8378 Å, 99.24 99.24 132.76°
Positions (direct):
Na 0.0943 0.6924 0.7867
Na 0.3076 0.0943 0.4019
Na 0.6924 0.9057 0.5981
Na 0.9057 0.3076 0.2133
Pa 0.5000 0.5000 0.0000
O 0.0000 0.0000 0.0000
O 0.2314 0.4151 0.6466
O 0.4151 0.7686 0.1837
O 0.5849 0.2314 0.8163
O 0.7686 0.5849 0.3534



For Na5PdO4, the GGA-PBE geometry in OQMD gives the simulated PXRD pattern in this record (λ = 1.5418 Å (Cu Kα)).
Kinematic intensities with the Lorentz-polarization factor, no thermal factor.

Principal peaks in the range 2θ from 10° to 90°, low angle first:
2θ/deg	Rel. int.
18.6	87
19.2	100
21.6	79
35.1	45
36.9	87
37.4	72
41.0	49
45.6	50

Cell: 7.9618 5.9759 5.6588 Å, 90.00 90.00 90.00°
Positions (direct):
Na 0.0000 0.2115 0.0000
Na 0.1718 0.5803 0.6892
Na 0.1925 0.0901 0.5009
Na 0.3075 0.9099 0.0009
Na 0.3282 0.4197 0.1892
Na 0.5000 0.7885 0.5000
Na 0.6718 0.4197 0.1892
Na 0.6925 0.9099 0.0009
Na 0.8075 0.0901 0.5009
Na 0.8282 0.5803 0.6892
Pd 0.0000 0.6788 0.2373
Pd 0.5000 0.3212 0.7373
O 0.0000 0.3747 0.4062
O 0.0000 0.8384 0.9205
O 0.2405 0.7427 0.3381
O 0.2595 0.2573 0.8381
O 0.5000 0.1616 0.4205
O 0.5000 0.6253 0.9062
O 0.7405 0.2573 0.8381
O 0.7595 0.7427 0.3381



For Na4PdO4, the GGA-PBE geometry in OQMD gives the simulated PXRD pattern in this record (λ = 1.5418 Å (Cu Kα)).
Kinematic intensities with the Lorentz-polarization factor, no thermal factor.

Principal peaks in the range 2θ from 10° to 90°, low angle first:
2θ/deg	Rel. int.
16.1	58
20.7	100
24.4	38
35.4	41
35.5	40
38.1	71
38.2	46
41.1	48

Cell: 5.4520 6.0756 8.2510 Å, 76.23 84.91 68.48°
Positions (direct):
Na 0.1749 0.3601 0.3287
Na 0.2417 0.9802 0.0881
Na 0.2535 0.5314 0.9035
Na 0.2597 0.7632 0.4747
Na 0.7403 0.2368 0.5253
Na 0.7465 0.4686 0.0965
Na 0.7583 0.0198 0.9119
Na 0.8251 0.6399 0.6713
Pd 0.2497 0.0862 0.7314
Pd 0.7503 0.9138 0.2686
O 0.0076 0.7025 0.1347
O 0.0429 0.8882 0.7054
O 0.2979 0.3719 0.5939
O 0.4957 0.7880 0.8655
O 0.5043 0.2120 0.1345
O 0.7021 0.6281 0.4061
O 0.9571 0.1118 0.2946
O 0.9924 0.2975 0.8653



For Na2PdPtO4, the GGA-PBE geometry in OQMD gives the simulated PXRD pattern in this record (λ = 1.5418 Å (Cu Kα)).
Kinematic intensities with the Lorentz-polarization factor, no thermal factor.

Principal peaks in the range 2θ from 10° to 90°, low angle first:
2θ/deg	Rel. int.
15.9	100
27.7	94
34.4	29
36.0	33
41.5	33
44.7	34
47.7	48
58.7	26

Cell: 5.9016 5.8221 5.8221 Å, 33.61 90.00 90.00°
Positions (direct):
Na 0.0000 0.0000 0.0000
Na 0.5000 0.4372 0.4372
Pd 0.0000 0.7219 0.7219
Pt 0.5000 0.7153 0.7153
O 0.2465 0.5988 0.5988
O 0.2586 0.8385 0.8385
O 0.7414 0.8385 0.8385
O 0.7535 0.5988 0.5988



For RbNaPdO2, the GGA-PBE geometry in OQMD gives the simulated PXRD pattern in this record (λ = 1.5418 Å (Cu Kα)).
Kinematic intensities with the Lorentz-polarization factor, no thermal factor.

Principal peaks in the range 2θ from 10° to 90°, low angle first:
2θ/deg	Rel. int.
17.8	45
18.9	80
31.7	100
32.9	88
33.6	77
37.6	30
39.2	90
52.6	74

Cell: 5.8793 5.8793 5.8793 Å, 148.72 126.11 63.65°
Positions (direct):
Rb 0.0000 0.0000 0.0000
Na 0.3475 0.3475 0.0000
Pd 0.6515 0.6515 0.0000
O 0.5150 0.0150 0.5000
O 0.7825 0.2825 0.5000